For Pr2NdCo2B2O3, a cell relaxed with PBE+U gives the computed powder X-ray diffraction pattern in this record (Cu Kα X-rays).
Peak positions follow from Bragg's law for the DFT cell and can differ from measured ones.

Most intense lines, 15 to 90 degrees two-theta, by angle:
two_theta  I_rel
28.12  100
33.41  40
35.21  37
35.81  40
44.70  39
50.64  35

a b c (Å): 10.3502 10.3502 10.3502
angles (deg): 159.94 159.94 28.52
Element x y z (fractional)
Pr 0.1340 0.1340 0.0000
Pr 0.8660 0.8660 0.0000
Nd 0.5000 0.5000 0.0000
Co 0.2500 0.7500 0.5000
Co 0.7500 0.2500 0.5000
B 0.2986 0.2986 0.0000
B 0.7014 0.7014 0.0000
O 0.0000 0.0000 0.0000
O 0.3788 0.3788 0.0000
O 0.6212 0.6212 0.0000